# MgZnAu5
Calculated PXRD pattern, CuKα. Input: a structure optimized by DFT (GGA-PBE).

Principal peaks in the range 10 to 90 degrees two-theta, in order of rising 2θ:
| 2θ (°) | intensity |
| --- | --- |
| 23.0 | 18 |
| 24.6 | 18 |
| 31.0 | 21 |
| 38.9 | 100 |
| 44.3 | 38 |
| 64.5 | 12 |
| 66.6 | 16 |
| 78.0 | 27 |

Cell and atoms:
```
data_MgZnAu5
_chemical_formula_sum 'Mg1 Zn1 Au5'
_space_group_name_H-M_alt 'P 1'
_space_group_IT_number 1
_cell_length_a 4.085
_cell_length_b 4.085
_cell_length_c 7.743
_cell_angle_alpha 90.00
_cell_angle_beta 90.00
_cell_angle_gamma 90.00
loop_
_space_group_symop_operation_xyz
'x,y,z'
loop_
_atom_site_label
_atom_site_fract_x
_atom_site_fract_y
_atom_site_fract_z
_atom_site_occupancy
Mg1 0.000 0.000 0.000 1
Zn1 0.000 0.000 0.500 1
Au1 0.000 0.500 0.276 1
Au2 0.000 0.500 0.724 1
Au3 0.500 0.000 0.276 1
Au4 0.500 0.000 0.724 1
Au5 0.500 0.500 0.000 1
```


# K2Li9Bi6
Calculated PXRD pattern, CuKα. Input: a structure optimized by DFT (GGA-PBE).

Principal peaks in the range 10 to 90 degrees two-theta, in order of rising 2θ:
| 2θ (°) | intensity |
| --- | --- |
| 13.3 | 61 |
| 23.1 | 100 |
| 25.0 | 24 |
| 28.4 | 23 |
| 34.2 | 72 |
| 40.5 | 24 |
| 48.2 | 28 |
| 63.9 | 20 |

Cell and atoms:
```
data_K2Li9Bi6
_chemical_formula_sum 'K2 Li9 Bi6'
_space_group_name_H-M_alt 'P 1'
_space_group_IT_number 1
_cell_length_a 7.710
_cell_length_b 7.710
_cell_length_c 10.703
_cell_angle_alpha 90.00
_cell_angle_beta 90.00
_cell_angle_gamma 120.00
loop_
_space_group_symop_operation_xyz
'x,y,z'
loop_
_atom_site_label
_atom_site_fract_x
_atom_site_fract_y
_atom_site_fract_z
_atom_site_occupancy
K1 0.000 0.000 0.230 1
K2 0.000 0.000 0.770 1
Li1 0.000 0.500 0.000 1
Li2 0.000 0.500 0.337 1
Li3 0.000 0.500 0.663 1
Li4 0.500 0.000 0.000 1
Li5 0.500 0.000 0.337 1
Li6 0.500 0.000 0.663 1
Li7 0.500 0.500 0.000 1
Li8 0.500 0.500 0.337 1
Li9 0.500 0.500 0.663 1
Bi1 0.333 0.667 0.171 1
Bi2 0.333 0.667 0.500 1
Bi3 0.333 0.667 0.829 1
Bi4 0.667 0.333 0.171 1
Bi5 0.667 0.333 0.500 1
Bi6 0.667 0.333 0.829 1
```


# K5GaAs2
Calculated PXRD pattern, CuKα. Input: a structure optimized by DFT (GGA-PBE).

Principal peaks in the range 10 to 90 degrees two-theta, in order of rising 2θ:
| 2θ (°) | intensity |
| --- | --- |
| 18.1 | 31 |
| 18.5 | 41 |
| 19.9 | 36 |
| 23.3 | 37 |
| 31.5 | 100 |
| 32.1 | 28 |
| 38.6 | 37 |
| 60.8 | 18 |

Cell and atoms:
```
data_K5GaAs2
_chemical_formula_sum 'K5 Ga1 As2'
_space_group_name_H-M_alt 'P 1'
_space_group_IT_number 1
_cell_length_a 5.684
_cell_length_b 5.684
_cell_length_c 14.511
_cell_angle_alpha 101.23
_cell_angle_beta 101.23
_cell_angle_gamma 59.94
loop_
_space_group_symop_operation_xyz
'x,y,z'
loop_
_atom_site_label
_atom_site_fract_x
_atom_site_fract_y
_atom_site_fract_z
_atom_site_occupancy
K1 0.000 0.000 0.000 1
K2 0.132 0.132 0.395 1
K3 0.256 0.256 0.768 1
K4 0.744 0.744 0.232 1
K5 0.868 0.868 0.605 1
Ga1 0.500 0.500 0.500 1
As1 0.445 0.445 0.336 1
As2 0.555 0.555 0.664 1
```


# Pm2Sm7Tm4
Calculated PXRD pattern, CuKα. Input: a structure optimized by DFT (GGA-PBE).

Principal peaks in the range 10 to 90 degrees two-theta, in order of rising 2θ:
| 2θ (°) | intensity |
| --- | --- |
| 30.5 | 100 |
| 30.6 | 33 |
| 35.4 | 67 |
| 50.9 | 32 |
| 51.0 | 16 |
| 60.4 | 14 |
| 60.6 | 33 |
| 82.9 | 10 |

Cell and atoms:
```
data_Pm2Sm7Tm4
_chemical_formula_sum 'Pm2 Sm7 Tm4'
_space_group_name_H-M_alt 'P 1'
_space_group_IT_number 1
_cell_length_a 6.197
_cell_length_b 8.021
_cell_length_c 9.501
_cell_angle_alpha 65.12
_cell_angle_beta 83.78
_cell_angle_gamma 82.64
loop_
_space_group_symop_operation_xyz
'x,y,z'
loop_
_atom_site_label
_atom_site_fract_x
_atom_site_fract_y
_atom_site_fract_z
_atom_site_occupancy
Pm1 0.156 0.192 0.384 1
Pm2 0.844 0.808 0.616 1
Sm1 0.000 0.500 0.000 1
Sm2 0.075 0.345 0.694 1
Sm3 0.232 0.038 0.077 1
Sm4 0.386 0.730 0.462 1
Sm5 0.614 0.270 0.538 1
Sm6 0.768 0.962 0.923 1
Sm7 0.925 0.655 0.306 1
Tm1 0.307 0.882 0.772 1
Tm2 0.463 0.576 0.152 1
Tm3 0.537 0.424 0.848 1
Tm4 0.693 0.118 0.228 1
```


# BaSn2Ir
Calculated PXRD pattern, CuKα. Input: a structure optimized by DFT (GGA-PBE).

Principal peaks in the range 10 to 90 degrees two-theta, in order of rising 2θ:
| 2θ (°) | intensity |
| --- | --- |
| 14.3 | 34 |
| 31.2 | 100 |
| 31.6 | 32 |
| 32.0 | 19 |
| 34.4 | 44 |
| 37.4 | 42 |
| 39.8 | 26 |
| 41.4 | 27 |

Cell and atoms:
```
data_BaSn2Ir
_chemical_formula_sum 'Ba8 Sn16 Ir8'
_space_group_name_H-M_alt 'P 1'
_space_group_IT_number 1
_cell_length_a 16.848
_cell_length_b 7.642
_cell_length_c 6.652
_cell_angle_alpha 90.00
_cell_angle_beta 90.00
_cell_angle_gamma 90.00
loop_
_space_group_symop_operation_xyz
'x,y,z'
loop_
_atom_site_label
_atom_site_fract_x
_atom_site_fract_y
_atom_site_fract_z
_atom_site_occupancy
Ba1 0.102 0.250 0.199 1
Ba2 0.134 0.750 0.004 1
Ba3 0.366 0.250 0.504 1
Ba4 0.398 0.750 0.699 1
Ba5 0.602 0.250 0.301 1
Ba6 0.634 0.750 0.496 1
Ba7 0.866 0.250 0.996 1
Ba8 0.898 0.750 0.801 1
Sn1 0.045 0.054 0.699 1
Sn2 0.045 0.446 0.699 1
Sn3 0.211 0.553 0.489 1
Sn4 0.211 0.947 0.489 1
Sn5 0.289 0.053 0.989 1
Sn6 0.289 0.447 0.989 1
Sn7 0.455 0.554 0.199 1
Sn8 0.455 0.946 0.199 1
Sn9 0.545 0.054 0.801 1
Sn10 0.545 0.446 0.801 1
Sn11 0.711 0.553 0.011 1
Sn12 0.711 0.947 0.011 1
Sn13 0.789 0.053 0.511 1
Sn14 0.789 0.447 0.511 1
Sn15 0.955 0.554 0.301 1
Sn16 0.955 0.946 0.301 1
Ir1 0.074 0.750 0.486 1
Ir2 0.187 0.250 0.719 1
Ir3 0.313 0.750 0.219 1
Ir4 0.426 0.250 0.986 1
Ir5 0.574 0.750 0.014 1
Ir6 0.687 0.250 0.781 1
Ir7 0.813 0.750 0.281 1
Ir8 0.926 0.250 0.514 1
```


# Al2Ag5
Calculated PXRD pattern, CuKα. Input: a structure optimized by DFT (GGA-PBE).

Principal peaks in the range 10 to 90 degrees two-theta, in order of rising 2θ:
| 2θ (°) | intensity |
| --- | --- |
| 23.4 | 12 |
| 38.1 | 100 |
| 42.8 | 35 |
| 47.0 | 13 |
| 65.4 | 19 |
| 75.1 | 12 |
| 75.3 | 12 |
| 81.3 | 15 |

Cell and atoms:
```
data_Al2Ag5
_chemical_formula_sum 'Al2 Ag5'
_space_group_name_H-M_alt 'P 1'
_space_group_IT_number 1
_cell_length_a 10.729
_cell_length_b 10.729
_cell_length_c 10.729
_cell_angle_alpha 163.96
_cell_angle_beta 159.25
_cell_angle_gamma 26.34
loop_
_space_group_symop_operation_xyz
'x,y,z'
loop_
_atom_site_label
_atom_site_fract_x
_atom_site_fract_y
_atom_site_fract_z
_atom_site_occupancy
Al1 0.072 0.072 0.000 1
Al2 0.928 0.928 0.000 1
Ag1 0.213 0.213 0.000 1
Ag2 0.362 0.362 0.000 1
Ag3 0.500 0.500 0.000 1
Ag4 0.638 0.638 0.000 1
Ag5 0.787 0.787 0.000 1
```


# LiPmCd11
Calculated PXRD pattern, CuKα. Input: a structure optimized by DFT (GGA-PBE).

Principal peaks in the range 10 to 90 degrees two-theta, in order of rising 2θ:
| 2θ (°) | intensity |
| --- | --- |
| 31.1 | 51 |
| 35.4 | 49 |
| 35.6 | 38 |
| 35.8 | 57 |
| 36.1 | 100 |
| 36.2 | 75 |
| 40.1 | 63 |
| 40.5 | 42 |

Cell and atoms:
```
data_LiPmCd11
_chemical_formula_sum 'Li1 Pm1 Cd11'
_space_group_name_H-M_alt 'P 1'
_space_group_IT_number 1
_cell_length_a 7.594
_cell_length_b 7.594
_cell_length_c 7.605
_cell_angle_alpha 98.40
_cell_angle_beta 98.40
_cell_angle_gamma 134.49
loop_
_space_group_symop_operation_xyz
'x,y,z'
loop_
_atom_site_label
_atom_site_fract_x
_atom_site_fract_y
_atom_site_fract_z
_atom_site_occupancy
Li1 0.000 0.000 0.000 1
Pm1 0.500 0.500 0.500 1
Cd1 0.000 0.500 0.500 1
Cd2 0.008 0.799 0.282 1
Cd3 0.142 0.486 0.146 1
Cd4 0.201 0.992 0.718 1
Cd5 0.486 0.142 0.146 1
Cd6 0.500 0.000 0.500 1
Cd7 0.500 0.500 0.000 1
Cd8 0.514 0.858 0.854 1
Cd9 0.799 0.008 0.282 1
Cd10 0.858 0.514 0.854 1
Cd11 0.992 0.201 0.718 1
```


# DyGa4Ru3
Calculated PXRD pattern, CuKα. Input: a structure optimized by DFT (GGA-PBE).

Principal peaks in the range 10 to 90 degrees two-theta, in order of rising 2θ:
| 2θ (°) | intensity |
| --- | --- |
| 40.0 | 100 |
| 40.9 | 25 |
| 41.1 | 25 |
| 56.3 | 7 |
| 59.3 | 16 |
| 73.9 | 15 |
| 74.1 | 16 |
| 86.3 | 8 |

Cell and atoms:
```
data_DyGa4Ru3
_chemical_formula_sum 'Dy2 Ga8 Ru6'
_space_group_name_H-M_alt 'P 1'
_space_group_IT_number 1
_cell_length_a 8.790
_cell_length_b 6.536
_cell_length_c 4.414
_cell_angle_alpha 90.00
_cell_angle_beta 90.00
_cell_angle_gamma 90.00
loop_
_space_group_symop_operation_xyz
'x,y,z'
loop_
_atom_site_label
_atom_site_fract_x
_atom_site_fract_y
_atom_site_fract_z
_atom_site_occupancy
Dy1 0.000 0.000 0.000 1
Dy2 0.500 0.000 0.000 1
Ga1 0.000 0.285 0.500 1
Ga2 0.000 0.715 0.500 1
Ga3 0.250 0.286 0.010 1
Ga4 0.250 0.714 0.010 1
Ga5 0.500 0.285 0.500 1
Ga6 0.500 0.715 0.500 1
Ga7 0.750 0.286 0.990 1
Ga8 0.750 0.714 0.990 1
Ru1 0.000 0.500 0.000 1
Ru2 0.250 0.000 0.468 1
Ru3 0.250 0.500 0.511 1
Ru4 0.500 0.500 0.000 1
Ru5 0.750 0.000 0.532 1
Ru6 0.750 0.500 0.489 1
```


# Ta2VTc5B2
Calculated PXRD pattern, CuKα. Input: a structure optimized by DFT (GGA-PBE).

Principal peaks in the range 10 to 90 degrees two-theta, in order of rising 2θ:
| 2θ (°) | intensity |
| --- | --- |
| 34.8 | 24 |
| 36.2 | 78 |
| 40.1 | 100 |
| 41.3 | 25 |
| 42.4 | 72 |
| 45.8 | 22 |
| 71.9 | 24 |
| 74.4 | 28 |

Cell and atoms:
```
data_Ta2VTc5B2
_chemical_formula_sum 'Ta4 V2 Tc10 B4'
_space_group_name_H-M_alt 'P 1'
_space_group_IT_number 1
_cell_length_a 9.281
_cell_length_b 9.281
_cell_length_c 3.095
_cell_angle_alpha 90.00
_cell_angle_beta 90.00
_cell_angle_gamma 90.00
loop_
_space_group_symop_operation_xyz
'x,y,z'
loop_
_atom_site_label
_atom_site_fract_x
_atom_site_fract_y
_atom_site_fract_z
_atom_site_occupancy
Ta1 0.176 0.324 0.000 1
Ta2 0.324 0.824 0.000 1
Ta3 0.676 0.176 0.000 1
Ta4 0.824 0.676 0.000 1
V1 0.000 0.000 0.000 1
V2 0.500 0.500 0.000 1
Tc1 0.000 0.500 0.500 1
Tc2 0.068 0.789 0.500 1
Tc3 0.211 0.068 0.500 1
Tc4 0.289 0.568 0.500 1
Tc5 0.432 0.289 0.500 1
Tc6 0.500 0.000 0.500 1
Tc7 0.568 0.711 0.500 1
Tc8 0.711 0.432 0.500 1
Tc9 0.789 0.932 0.500 1
Tc10 0.932 0.211 0.500 1
B1 0.125 0.625 0.000 1
B2 0.375 0.125 0.000 1
B3 0.625 0.875 0.000 1
B4 0.875 0.375 0.000 1
```


# Tl2SnI5
Calculated PXRD pattern, CuKα. Input: a structure optimized by DFT (GGA-PBE).

Principal peaks in the range 10 to 90 degrees two-theta, in order of rising 2θ:
| 2θ (°) | intensity |
| --- | --- |
| 12.1 | 100 |
| 24.0 | 53 |
| 28.2 | 85 |
| 29.6 | 53 |
| 30.4 | 49 |
| 32.1 | 58 |
| 39.9 | 23 |
| 44.2 | 31 |

Cell and atoms:
```
data_Tl2SnI5
_chemical_formula_sum 'Tl2 Sn1 I5'
_space_group_name_H-M_alt 'P 1'
_space_group_IT_number 1
_cell_length_a 11.316
_cell_length_b 9.154
_cell_length_c 7.902
_cell_angle_alpha 82.77
_cell_angle_beta 53.38
_cell_angle_gamma 43.85
loop_
_space_group_symop_operation_xyz
'x,y,z'
loop_
_atom_site_label
_atom_site_fract_x
_atom_site_fract_y
_atom_site_fract_z
_atom_site_occupancy
Tl1 0.192 0.192 0.808 1
Tl2 0.808 0.808 0.192 1
Sn1 0.500 0.500 0.500 1
I1 0.000 0.000 0.000 1
I2 0.231 0.507 0.493 1
I3 0.493 0.769 0.231 1
I4 0.507 0.231 0.769 1
I5 0.769 0.493 0.507 1
```


# MnCrMo
Calculated PXRD pattern, CuKα. Input: a structure optimized by DFT (GGA-PBE).

Principal peaks in the range 10 to 90 degrees two-theta, in order of rising 2θ:
| 2θ (°) | intensity |
| --- | --- |
| 22.5 | 9 |
| 43.0 | 100 |
| 43.2 | 24 |
| 43.4 | 24 |
| 62.9 | 15 |
| 78.7 | 8 |
| 79.1 | 14 |
| 79.4 | 15 |

Cell and atoms:
```
data_MnCrMo
_chemical_formula_sum 'Mn2 Cr2 Mo2'
_space_group_name_H-M_alt 'P 1'
_space_group_IT_number 1
_cell_length_a 6.616
_cell_length_b 6.616
_cell_length_c 2.993
_cell_angle_alpha 90.00
_cell_angle_beta 90.00
_cell_angle_gamma 143.28
loop_
_space_group_symop_operation_xyz
'x,y,z'
loop_
_atom_site_label
_atom_site_fract_x
_atom_site_fract_y
_atom_site_fract_z
_atom_site_occupancy
Mn1 0.089 0.911 0.750 1
Mn2 0.911 0.089 0.250 1
Cr1 0.250 0.750 0.250 1
Cr2 0.750 0.250 0.750 1
Mo1 0.413 0.587 0.750 1
Mo2 0.587 0.413 0.250 1
```


# Ti3BiH
Calculated PXRD pattern, CuKα. Input: a structure optimized by DFT (GGA-PBE).

Principal peaks in the range 10 to 90 degrees two-theta, in order of rising 2θ:
| 2θ (°) | intensity |
| --- | --- |
| 16.5 | 37 |
| 21.3 | 48 |
| 23.1 | 96 |
| 32.2 | 36 |
| 36.4 | 52 |
| 37.3 | 100 |
| 38.5 | 76 |
| 40.2 | 45 |

Cell and atoms:
```
data_Ti3BiH
_chemical_formula_sum 'Ti6 Bi2 H2'
_space_group_name_H-M_alt 'P 1'
_space_group_IT_number 1
_cell_length_a 5.438
_cell_length_b 5.438
_cell_length_c 5.554
_cell_angle_alpha 90.00
_cell_angle_beta 90.00
_cell_angle_gamma 80.06
loop_
_space_group_symop_operation_xyz
'x,y,z'
loop_
_atom_site_label
_atom_site_fract_x
_atom_site_fract_y
_atom_site_fract_z
_atom_site_occupancy
Ti1 0.000 0.000 0.000 1
Ti2 0.000 0.000 0.500 1
Ti3 0.126 0.475 0.750 1
Ti4 0.475 0.126 0.250 1
Ti5 0.525 0.874 0.750 1
Ti6 0.874 0.525 0.250 1
Bi1 0.349 0.651 0.250 1
Bi2 0.651 0.349 0.750 1
H1 0.188 0.812 0.750 1
H2 0.812 0.188 0.250 1
```